Calculated powder XRD pattern of PmPbNO for Cu Kα (λ = 1.5418 Å), from the GGA-PBE geometry in OQMD.
Kinematic intensities with the Lorentz-polarization factor, no thermal factor.

Atomic structure:
Lattice parameters (Å, degrees): 5.883 8.558 5.818 90.00 90.00 90.00
Space group Pca2_1 (No. 29)
One atom of each set of equivalent atoms:
Pm (0.004, 0.125, 0.000) (multiplicity 4)
Pb (0.022, 0.627, 0.002) (multiplicity 4)
N (0.090, 0.615, 0.601) (multiplicity 4)
O (0.247, 0.996, 0.247) (multiplicity 4)

Most intense lines, 2θ = 10–90°, low angle first:
d = 2.974 Å, I = 100, (1 2 1)
d = 2.942 Å, I = 23, (2 0 0)
d = 2.909 Å, I = 23, (0 0 2)
d = 2.068 Å, I = 21, (2 0 2)
d = 1.730 Å, I = 12, (2 4 0)
d = 1.724 Å, I = 12, (0 4 2)
d = 1.705 Å, I = 19, (3 2 1)
d = 1.692 Å, I = 21, (1 2 3)
d = 1.487 Å, I = 12, (2 4 2)
d = 1.313 Å, I = 12, (3 2 3)


Calculated powder XRD pattern of DyZr3Tl2C2 for Cu Kα (λ = 1.5418 Å), from the GGA-PBE geometry in OQMD.
Kinematic intensities with the Lorentz-polarization factor, no thermal factor.

Atomic structure:
Lattice parameters (Å, degrees): 3.4301 3.4301 15.4373 90.00 90.00 120.00
Space group P3m1 (No. 156)
One atom of each set of equivalent atoms:
Dy (0.0000, 0.0000, 0.0000) (multiplicity 1)
Zr (0.0000, 0.0000, 0.6593) (multiplicity 1)
Zr (0.6667, 0.3333, 0.1705) (multiplicity 1)
Zr (0.6667, 0.3333, 0.5004) (multiplicity 1)
Tl (0.0000, 0.0000, 0.3366) (multiplicity 1)
Tl (0.6667, 0.3333, 0.8248) (multiplicity 1)
C (0.3333, 0.6667, 0.0960) (multiplicity 1)
C (0.3333, 0.6667, 0.5799) (multiplicity 1)

Most intense lines, 2θ = 10–90°, low angle first:
d = 7.719 Å, I = 7, (0 0 2)
d = 2.971 Å, I = 19, (1 0 0)
d = 2.917 Å, I = 6, (0 1 1)
d = 2.573 Å, I = 100, (0 0 6)
d = 1.945 Å, I = 13, (0 1 6)
d = 1.715 Å, I = 17, (1 1 0)
d = 1.485 Å, I = 17, (1 0 9)
d = 1.427 Å, I = 30, (1 1 6)
d = 1.123 Å, I = 8, (0 2 9)
d = 1.097 Å, I = 12, (2 1 3)


Calculated powder XRD pattern of Y6Mg9Co2 for Cu Kα (λ = 1.5418 Å), from the GGA-PBE geometry in OQMD.
Kinematic intensities with the Lorentz-polarization factor, no thermal factor.

Atomic structure:
Lattice parameters (Å, degrees): 8.752 15.887 5.971 90.00 90.00 90.00
Space group Pnnm (No. 58)
One atom of each set of equivalent atoms:
Y (0.077, 0.158, 0.000) (multiplicity 4)
Y (0.166, 0.865, 0.500) (multiplicity 4)
Y (0.211, 0.475, 0.500) (multiplicity 4)
Mg (0.000, 0.500, 0.000) (multiplicity 2)
Mg (0.053, 0.662, 0.256) (multiplicity 8)
Mg (0.182, 0.070, 0.500) (multiplicity 4)
Mg (0.210, 0.262, 0.500) (multiplicity 4)
Co (0.000, 0.000, 0.198) (multiplicity 4)

Most intense lines, 2θ = 10–90°, low angle first:
d = 7.943 Å, I = 43, (0 2 0)
d = 7.666 Å, I = 87, (1 1 0)
d = 3.226 Å, I = 67, (2 2 1)
d = 2.986 Å, I = 36, (0 0 2)
d = 2.937 Å, I = 52, (2 3 1)
d = 2.671 Å, I = 88, (1 5 1)
d = 2.648 Å, I = 30, (0 6 0)
d = 2.621 Å, I = 50, (3 0 1)
d = 2.493 Å, I = 100, (1 3 2)
d = 1.543 Å, I = 29, (4 5 2)


Calculated powder XRD pattern of In2Ni3Se2 for Cu Kα (λ = 1.5418 Å), from the GGA-PBE geometry in OQMD.
Kinematic intensities with the Lorentz-polarization factor, no thermal factor.

Atomic structure:
Lattice parameters (Å, degrees): 5.4420 5.4420 14.3226 90.00 90.00 120.00
Space group R-3m (No. 166, hexagonal axes)
One atom of each set of equivalent atoms:
In (0.0000, 0.0000, 0.0000) (multiplicity 3)
In (0.0000, 0.0000, 0.5000) (multiplicity 3)
Ni (0.0000, 0.5000, 0.0000) (multiplicity 9)
Se (0.0000, 0.0000, 0.2168) (multiplicity 6)

Most intense lines, 2θ = 10–90°, low angle first:
d = 2.851 Å, I = 79, (1 0 4)
d = 2.721 Å, I = 98, (1 1 0)
d = 2.387 Å, I = 30, (0 0 6)
d = 2.364 Å, I = 31, (1 1 3)
d = 2.325 Å, I = 30, (0 2 1)
d = 2.238 Å, I = 42, (2 0 2)
d = 1.968 Å, I = 100, (0 2 4)
d = 1.820 Å, I = 30, (2 0 5)
d = 1.595 Å, I = 27, (2 1 4)
d = 1.361 Å, I = 34, (2 2 0)


Calculated powder XRD pattern of Nd2GdB2Pd2N3 for Cu Kα (λ = 1.5418 Å), from the GGA-PBE geometry in OQMD.
Kinematic intensities with the Lorentz-polarization factor, no thermal factor.

Atomic structure:
Lattice parameters (Å, degrees): 3.725 3.725 20.554 90.00 90.00 90.00
Space group I4/mmm (No. 139)
One atom of each set of equivalent atoms:
Nd (0.000, 0.000, 0.120) (multiplicity 4)
Gd (0.000, 0.000, 0.500) (multiplicity 2)
B (0.000, 0.000, 0.315) (multiplicity 4)
Pd (0.000, 0.500, 0.250) (multiplicity 4)
N (0.000, 0.000, 0.000) (multiplicity 2)
N (0.000, 0.000, 0.384) (multiplicity 4)

Most intense lines, 2θ = 10–90°, low angle first:
d = 3.273 Å, I = 99, (1 0 3)
d = 2.760 Å, I = 100, (1 0 5)
d = 2.569 Å, I = 70, (0 0 8)
d = 2.552 Å, I = 94, (1 1 2)
d = 2.344 Å, I = 62, (1 1 4)
d = 2.088 Å, I = 37, (1 1 6)
d = 1.863 Å, I = 60, (2 0 0)
d = 1.620 Å, I = 64, (1 1 10)
d = 1.544 Å, I = 36, (2 1 5)
d = 1.508 Å, I = 53, (2 0 8)


Calculated powder XRD pattern of Co7Hg2 for Cu Kα (λ = 1.5418 Å), from the GGA-PBE geometry in OQMD.
Kinematic intensities with the Lorentz-polarization factor, no thermal factor.

Atomic structure:
Lattice parameters (Å, degrees): 2.6611 2.6611 30.8197 90.00 90.00 120.00
Space group P-3m1 (No. 164)
One atom of each set of equivalent atoms:
Co (0.0000, 0.0000, 0.0000) (multiplicity 1)
Co (0.0000, 0.0000, 0.1875) (multiplicity 2)
Co (0.3333, 0.6667, 0.1269) (multiplicity 2)
Co (0.3333, 0.6667, 0.9369) (multiplicity 2)
Hg (0.3333, 0.6667, 0.7314) (multiplicity 2)

Most intense lines, 2θ = 10–90°, low angle first:
d = 7.705 Å, I = 89, (0 0 4)
d = 5.137 Å, I = 24, (0 0 6)
d = 4.403 Å, I = 25, (0 0 7)
d = 2.298 Å, I = 34, (1 0 1)
d = 2.249 Å, I = 33, (1 0 3)
d = 2.208 Å, I = 24, (0 1 4)
d = 2.159 Å, I = 100, (1 0 5)
d = 2.103 Å, I = 32, (0 1 6)
d = 1.846 Å, I = 59, (0 1 10)
d = 1.330 Å, I = 24, (1 1 0)


Calculated powder XRD pattern of Te3MoSeI for Cu Kα (λ = 1.5418 Å), from the GGA-PBE geometry in OQMD.
Kinematic intensities with the Lorentz-polarization factor, no thermal factor.

Atomic structure:
Lattice parameters (Å, degrees): 6.804 8.647 8.860 62.49 67.46 75.18
Space group P-1 (No. 2)
One atom of each set of equivalent atoms:
Te (0.028, 0.251, 0.283) (multiplicity 2)
Te (0.379, 0.902, 0.807) (multiplicity 2)
Te (0.450, 0.302, 0.400) (multiplicity 2)
Mo (0.278, 0.999, 0.500) (multiplicity 2)
Se (0.112, 0.838, 0.381) (multiplicity 2)
I (0.226, 0.248, 0.884) (multiplicity 2)

Most intense lines, 2θ = 10–90°, low angle first:
d = 7.633 Å, I = 100, (0 1 0)
d = 7.473 Å, I = 49, (0 0 1)
d = 6.937 Å, I = 69, (0 1 1)
d = 3.817 Å, I = 29, (0 2 0)
d = 3.361 Å, I = 61, (2 1 1)
d = 2.919 Å, I = 46, (1 1 3)
d = 2.844 Å, I = 30, (1 0 -2)
d = 2.777 Å, I = 38, (1 3 1)
d = 2.740 Å, I = 28, (2 -1 1)
d = 2.643 Å, I = 34, (-1 2 2)


Repeat the third record exactly.
Calculated powder XRD pattern of Y6Mg9Co2 for Cu Kα (λ = 1.5418 Å), from the GGA-PBE geometry in OQMD.
Kinematic intensities with the Lorentz-polarization factor, no thermal factor.

Atomic structure:
Lattice parameters (Å, degrees): 8.752 15.887 5.971 90.00 90.00 90.00
Space group Pnnm (No. 58)
One atom of each set of equivalent atoms:
Y (0.077, 0.158, 0.000) (multiplicity 4)
Y (0.166, 0.865, 0.500) (multiplicity 4)
Y (0.211, 0.475, 0.500) (multiplicity 4)
Mg (0.000, 0.500, 0.000) (multiplicity 2)
Mg (0.053, 0.662, 0.256) (multiplicity 8)
Mg (0.182, 0.070, 0.500) (multiplicity 4)
Mg (0.210, 0.262, 0.500) (multiplicity 4)
Co (0.000, 0.000, 0.198) (multiplicity 4)

Most intense lines, 2θ = 10–90°, low angle first:
d = 7.943 Å, I = 43, (0 2 0)
d = 7.666 Å, I = 87, (1 1 0)
d = 3.226 Å, I = 67, (2 2 1)
d = 2.986 Å, I = 36, (0 0 2)
d = 2.937 Å, I = 52, (2 3 1)
d = 2.671 Å, I = 88, (1 5 1)
d = 2.648 Å, I = 30, (0 6 0)
d = 2.621 Å, I = 50, (3 0 1)
d = 2.493 Å, I = 100, (1 3 2)
d = 1.543 Å, I = 29, (4 5 2)